The following is a theoretical powder diffractogram of AcNdPt2. It was derived from the PBE geometry in Alexandria, using Cu Kα (weighted mean of Kα1 and Kα2).
Peak positions follow from Bragg's law for the DFT cell and can differ from measured ones.

Peak list (6 most intense, 2θ = 10–80°, in order of rising 2θ)
(hkl)	2theta	intensity
0 1 2	25.7	30
0 1 5	31.8	100
1 0 7	37.7	47
1 1 0	42.8	59
2 0 5	54.3	23
1 1 12	67.6	29

Structural model:
```
data_AcNdPt2
_space_group_name_H-M_alt 'R 3 m'
_space_group_IT_number 160
_space_group_name_Hall 'R 3 -2"'
_cell_length_a 4.2262
_cell_length_b 4.2262
_cell_length_c 22.0095
_cell_angle_alpha 90.00
_cell_angle_beta 90.00
_cell_angle_gamma 120.00
loop_
_atom_site_label
_atom_site_type_symbol
_atom_site_fract_x
_atom_site_fract_y
_atom_site_fract_z
Ac1 Ac 0.0000 0.0000 0.0000
Nd1 Nd 0.0000 0.0000 0.8272
Pt1 Pt 0.0000 0.0000 0.2438
Pt2 Pt 0.0000 0.0000 0.4177
```